Record 1
Simulated powder X-ray diffraction pattern of SrCaMg6O8 for Cu Kα (weighted mean of Kα1 and Kα2), from a cell relaxed with GGA-PBE.

Peak list (10 most intense, 2θ from 10° to 90°, by angle)
hkl 0 0 2, 19.59 deg, I = 34
hkl 1 0 2, 27.84 deg, I = 29
hkl 1 1 2, 34.27 deg, I = 40
hkl 2 0 0, 39.71 deg, I = 100
hkl 0 0 4, 39.90 deg, I = 49
hkl 2 0 2, 44.66 deg, I = 10
hkl 2 2 0, 57.42 deg, I = 30
hkl 2 0 4, 57.56 deg, I = 59
hkl 3 1 2, 68.60 deg, I = 14
hkl 2 2 4, 72.20 deg, I = 27

Crystal structure
a = 4.539 Å, b = 4.539 Å, c = 9.038 Å
α = 90.00°, β = 90.00°, γ = 90.00°
Fractional coordinates of all 16 atoms:
1 Sr 0.000 0.000 0.000
2 Ca 0.000 0.000 0.500
3 Mg 0.000 0.500 0.254
4 Mg 0.000 0.500 0.746
5 Mg 0.500 0.000 0.254
6 Mg 0.500 0.000 0.746
7 Mg 0.500 0.500 0.000
8 Mg 0.500 0.500 0.500
9 O 0.000 0.000 0.258
10 O 0.000 0.000 0.742
11 O 0.000 0.500 0.000
12 O 0.000 0.500 0.500
13 O 0.500 0.000 0.000
14 O 0.500 0.000 0.500
15 O 0.500 0.500 0.251
16 O 0.500 0.500 0.749

***

Record 2
Simulated powder X-ray diffraction pattern of SrCaMg6O8 for Cu Kα (weighted mean of Kα1 and Kα2), from a cell relaxed with GGA-PBE.

Peak list (10 most intense, 2θ from 10° to 90°, by angle)
hkl 0 0 2, 20.01 deg, I = 12
hkl 1 1 1, 29.40 deg, I = 18
hkl 0 0 3, 30.21 deg, I = 12
hkl 1 1 2, 34.32 deg, I = 39
hkl 2 0 0, 39.41 deg, I = 100
hkl 0 0 4, 40.67 deg, I = 45
hkl 2 2 0, 56.97 deg, I = 30
hkl 2 0 4, 57.92 deg, I = 53
hkl 3 1 2, 68.22 deg, I = 14
hkl 2 2 4, 72.32 deg, I = 24

Crystal structure
a = 4.572 Å, b = 4.572 Å, c = 8.874 Å
α = 90.00°, β = 90.00°, γ = 90.00°
Fractional coordinates of all 16 atoms:
1 Sr 0.000 0.000 0.000
2 Ca 0.500 0.500 0.000
3 Mg 0.000 0.000 0.500
4 Mg 0.000 0.500 0.268
5 Mg 0.000 0.500 0.732
6 Mg 0.500 0.000 0.268
7 Mg 0.500 0.000 0.732
8 Mg 0.500 0.500 0.500
9 O 0.000 0.000 0.274
10 O 0.000 0.000 0.726
11 O 0.000 0.500 0.000
12 O 0.000 0.500 0.500
13 O 0.500 0.000 0.000
14 O 0.500 0.000 0.500
15 O 0.500 0.500 0.267
16 O 0.500 0.500 0.733

***

Record 3
Simulated powder X-ray diffraction pattern of CaMg6TiO8 for Cu Kα (weighted mean of Kα1 and Kα2), from a cell relaxed with GGA-PBE.

Peak list (10 most intense, 2θ from 10° to 90°, by angle)
hkl 0 0 1, 10.14 deg, I = 7
hkl 0 0 2, 20.36 deg, I = 3
hkl 0 0 3, 30.72 deg, I = 6
hkl 1 1 2, 35.60 deg, I = 19
hkl 2 0 0, 41.34 deg, I = 100
hkl 2 2 0, 59.90 deg, I = 56
hkl 3 1 2, 71.62 deg, I = 7
hkl 1 1 6, 71.75 deg, I = 3
hkl 2 2 4, 75.38 deg, I = 17
hkl 4 0 0, 89.74 deg, I = 5

Crystal structure
a = 4.371 Å, b = 4.371 Å, c = 8.723 Å
α = 90.00°, β = 90.00°, γ = 90.00°
Fractional coordinates of all 16 atoms:
1 Ca 0.000 0.000 0.000
2 Mg 0.000 0.000 0.500
3 Mg 0.000 0.500 0.258
4 Mg 0.000 0.500 0.742
5 Mg 0.500 0.000 0.258
6 Mg 0.500 0.000 0.742
7 Mg 0.500 0.500 0.500
8 Ti 0.500 0.500 0.000
9 O 0.000 0.000 0.265
10 O 0.000 0.000 0.735
11 O 0.000 0.500 0.000
12 O 0.000 0.500 0.500
13 O 0.500 0.000 0.000
14 O 0.500 0.000 0.500
15 O 0.500 0.500 0.256
16 O 0.500 0.500 0.744